No. 1
Structure and calculated X-ray powder pattern of Eu2Al5Ag5 (a structure optimized by DFT (GGA-PBE); a wavelength of 1.5418 Å).

Largest 6 diffraction maxima, by intensity, 2θ = 5–70°:
37.6°, I = 100
19.7°, I = 41
31.7°, I = 38
38.1°, I = 32
32.4°, I = 29
39.9°, I = 27

Structural model:
a b c (Å): 4.5176 5.5327 9.8433
angles (deg): 90.00 90.00 90.00
Space group Pmmm (No. 47)
One atom of each set of equivalent atoms:
Eu (0.0000, 0.0000, 0.0000) (multiplicity 1)
Eu (0.0000, 0.5000, 0.5000) (multiplicity 1)
Al (0.5000, 0.0000, 0.5000) (multiplicity 1)
Al (0.5000, 0.2504, 0.2492) (multiplicity 4)
Ag (0.0000, 0.0000, 0.3330) (multiplicity 2)
Ag (0.0000, 0.5000, 0.1753) (multiplicity 2)
Ag (0.5000, 0.5000, 0.0000) (multiplicity 1)

=====

No. 2
Structure and calculated X-ray powder pattern of Th2PSe2 (a structure optimized by DFT (GGA-PBE); a wavelength of 1.5418 Å).

Largest 6 diffraction maxima, by intensity, 2θ = 5–70°:
26.7°, I = 100
11.9°, I = 63
40.5°, I = 49
38.1°, I = 39
29.3°, I = 33
49.2°, I = 28

Structural model:
a b c (Å): 3.3440 3.3440 14.9057
angles (deg): 90.00 90.00 90.00
Space group P4/mmm (No. 123)
One atom of each set of equivalent atoms:
Th (0.0000, 0.0000, 0.1879) (multiplicity 2)
P (0.0000, 0.0000, 0.0000) (multiplicity 1)
Se (0.0000, 0.0000, 0.3721) (multiplicity 2)

=====

No. 3
Structure and calculated X-ray powder pattern of VZnN2 (a structure optimized by DFT (GGA-PBE); a wavelength of 1.5418 Å).

Largest 6 diffraction maxima, by intensity, 2θ = 5–70°:
36.5°, I = 100
34.2°, I = 55
36.4°, I = 46
32.1°, I = 46
62.7°, I = 31
57.1°, I = 30

Structural model:
a b c (Å): 5.6025 6.4222 5.2475
angles (deg): 90.00 90.00 90.00
Space group Pna2_1 (No. 33)
One atom of each set of equivalent atoms:
V (0.0758, 0.1239, 0.0000) (multiplicity 4)
Zn (0.0843, 0.6228, 0.0039) (multiplicity 4)
N (0.0726, 0.1126, 0.3587) (multiplicity 4)
N (0.1021, 0.6393, 0.3971) (multiplicity 4)

=====

No. 4
Structure and calculated X-ray powder pattern of La5CuBi3 (a structure optimized by DFT (GGA-PBE); a wavelength of 1.5418 Å).

Largest 6 diffraction maxima, by intensity, 2θ = 5–70°:
32.3°, I = 100
30.8°, I = 90
31.5°, I = 82
40.5°, I = 27
45.8°, I = 25
49.6°, I = 24

Structural model:
a b c (Å): 9.8239 9.8239 6.7167
angles (deg): 90.00 90.00 120.00
Space group P6_3/mcm (No. 193)
One atom of each set of equivalent atoms:
La (0.0000, 0.2594, 0.2500) (multiplicity 6)
La (0.3333, 0.6667, 0.0000) (multiplicity 4)
Cu (0.0000, 0.0000, 0.0000) (multiplicity 2)
Bi (0.0000, 0.3845, 0.7500) (multiplicity 6)

=====

No. 5
Structure and calculated X-ray powder pattern of Nd3Ho (a structure optimized by DFT (GGA-PBE); a wavelength of 1.5418 Å).

Largest 5 diffraction maxima, by intensity, 2θ = 5–70°:
30.0°, I = 100
34.8°, I = 51
59.4°, I = 43
50.0°, I = 36
62.3°, I = 12

Structural model:
a b c (Å): 5.1591 5.1591 5.1591
angles (deg): 90.00 90.00 90.00
Space group Pm-3m (No. 221)
One atom of each set of equivalent atoms:
Nd (0.0000, 0.0000, 0.5000) (multiplicity 3)
Ho (0.5000, 0.5000, 0.5000) (multiplicity 1)

=====

No. 6
Structure and calculated X-ray powder pattern of LaReN3 (a structure optimized by DFT (GGA-PBE); a wavelength of 1.5418 Å).

Largest 6 diffraction maxima, by intensity, 2θ = 5–70°:
14.6°, I = 100
30.5°, I = 71
33.5°, I = 42
23.5°, I = 36
48.0°, I = 33
24.7°, I = 31

Structural model:
a b c (Å): 7.0632 5.3747 11.2788
angles (deg): 90.00 120.81 90.00
Space group P2_1/c (No. 14)
One atom of each set of equivalent atoms:
La (0.2215, 0.2084, 0.3333) (multiplicity 4)
Re (0.0952, 0.7202, 0.0081) (multiplicity 4)
N (0.0322, 0.5205, 0.6182) (multiplicity 4)
N (0.0880, 0.5020, 0.1514) (multiplicity 4)
N (0.3627, 0.6938, 0.0347) (multiplicity 4)